(1)
Ho4CdRh2: simulated XRD peak list (Cu Kα), based on a DFT-relaxed cell (GGA-PBE, Alexandria).

Peak list (6 most intense, 10 to 80 degrees two-theta, by angle)
2θ (°), I (rel.)
30.7, 41
31.5, 100
31.8, 43
33.5, 79
33.7, 72
39.7, 40

Atomic structure:
Lattice parameters (Å, degrees): 7.164 7.178 7.328 102.39 102.18 95.74
Fractional positions:
Ho  0.000  0.000  0.000
Ho  0.008  0.010  0.506
Ho  0.050  0.445  0.874
Ho  0.418  0.420  0.516
Ho  0.535  0.083  0.151
Ho  0.563  0.957  0.632
Ho  0.585  0.586  0.987
Ho  0.922  0.474  0.355
Cd  0.235  0.771  0.750
Cd  0.266  0.740  0.254
Rh  0.321  0.200  0.814
Rh  0.744  0.260  0.544
Rh  0.749  0.262  0.963
Rh  0.807  0.686  0.694



(2)
DyCdAg3: simulated XRD peak list (Cu Kα), based on a DFT-relaxed cell (GGA-PBE, Alexandria).

Peak list (6 most intense, 10 to 80 degrees two-theta, by angle)
2θ (°), I (rel.)
34.6, 41
35.4, 70
37.8, 100
38.3, 96
39.0, 24
39.1, 24

Atomic structure:
Lattice parameters (Å, degrees): 5.072 5.182 8.180 72.43 89.97 89.82
Fractional positions:
Dy  0.249  0.089  0.199
Dy  0.751  0.911  0.801
Cd  0.249  0.316  0.788
Cd  0.751  0.684  0.212
Ag  0.250  0.477  0.412
Ag  0.250  0.894  0.593
Ag  0.251  0.684  0.003
Ag  0.749  0.316  0.997
Ag  0.750  0.106  0.407
Ag  0.750  0.523  0.588



(3)
SrLi2Ac2Tl2: simulated XRD peak list (Cu Kα), based on a DFT-relaxed cell (GGA-PBE, Alexandria).

Peak list (6 most intense, 10 to 80 degrees two-theta, by angle)
2θ (°), I (rel.)
20.3, 49
20.9, 34
28.8, 61
31.0, 100
35.2, 84
47.6, 31

Atomic structure:
Lattice parameters (Å, degrees): 10.566 10.566 10.566 27.92 27.92 27.92
Fractional positions:
Sr  0.000  0.000  0.000
Li  0.395  0.395  0.395
Li  0.605  0.605  0.605
Ac  0.126  0.126  0.126
Ac  0.874  0.874  0.874
Tl  0.262  0.262  0.262
Tl  0.738  0.738  0.738



(4)
Sr5ZnPb3O12: simulated XRD peak list (Cu Kα), based on a DFT-relaxed cell (GGA-PBE, Alexandria).

Peak list (6 most intense, 10 to 80 degrees two-theta, by angle)
2θ (°), I (rel.)
17.2, 42
30.0, 81
30.4, 100
43.2, 47
53.5, 46
60.3, 23

Atomic structure:
Lattice parameters (Å, degrees): 10.331 10.331 3.579 90.00 90.00 120.00
Fractional positions:
Sr  0.000  0.303  0.000
Sr  0.303  0.000  0.000
Sr  0.333  0.667  0.000
Sr  0.667  0.333  0.000
Sr  0.697  0.697  0.000
Zn  0.000  0.000  0.002
Pb  0.000  0.663  0.500
Pb  0.337  0.337  0.500
Pb  0.663  0.000  0.500
O  0.000  0.536  0.000
O  0.000  0.818  0.001
O  0.182  0.182  0.001
O  0.205  0.444  0.500
O  0.239  0.795  0.500
O  0.444  0.205  0.500
O  0.464  0.464  0.000
O  0.536  0.000  0.000
O  0.556  0.761  0.500
O  0.761  0.556  0.500
O  0.795  0.239  0.500
O  0.818  0.000  0.001